Calculated powder diffractogram
Compound: CeCo2H8
Radiation: copper Kα
Structure: a DFT-relaxed cell (GGA-PBE, Alexandria)
Lines closer than 0.1° are merged.

Cell and atoms:
Cell: 5.794 5.794 5.794 Å, 139.09 139.09 59.24°
Element x y z (fractional)
Ce1 0.000 0.000 0.000
Co1 0.250 0.750 0.500
Co2 0.750 0.250 0.500
H1 0.116 0.116 0.559
H2 0.116 0.557 0.000
H3 0.443 0.443 0.559
H4 0.443 0.884 0.000
H5 0.557 0.116 0.000
H6 0.557 0.557 0.441
H7 0.884 0.443 0.000
H8 0.884 0.884 0.441

The 10 most intense peaks (10° ≤ 2θ ≤ 80°), by intensity:
- 2θ 36.08, rel. 100
- 2θ 23.68, rel. 81
- 2θ 34.70, rel. 32
- 2θ 44.76, rel. 25
- 2θ 35.65, rel. 25
- 2θ 58.49, rel. 24
- 2θ 51.25, rel. 21
- 2θ 76.79, rel. 20
- 2θ 64.32, rel. 17
- 2θ 57.84, rel. 14